No. 1
Starting from a cell relaxed with GGA-PBE, the PXRD pattern of AlBi3 was simulated for Cu Kα, 1.54184 Å.
Peak positions follow from Bragg's law for the DFT cell and can differ from measured ones.

Peak list (12 most intense, 2θ = 15–90°, low angle first)
- 2θ 18.15, I 21
- 2θ 25.78, I 19
- 2θ 31.71, I 100
- 2θ 36.78, I 51
- 2θ 41.31, I 12
- 2θ 45.46, I 9
- 2θ 52.99, I 36
- 2θ 63.09, I 44
- 2θ 66.24, I 13
- 2θ 78.24, I 6
- 2θ 86.88, I 19
- 2θ 89.73, I 18

Structure:
```
AlBi3
1.0
4.8873 0.0000 0.0000
0.0000 4.8873 0.0000
0.0000 0.0000 4.8873
Al Bi
1 3
direct
0.0000 0.0000 0.0000
0.0000 0.5000 0.5000
0.5000 0.0000 0.5000
0.5000 0.5000 0.0000
```


No. 2
Starting from a cell relaxed with GGA-PBE, the PXRD pattern of AlBi was simulated for Cu Kα, 1.54184 Å.
Peak positions follow from Bragg's law for the DFT cell and can differ from measured ones.

Peak list (11 most intense, 2θ = 15–90°, low angle first)
- 2θ 23.90, I 100
- 2θ 27.66, I 39
- 2θ 39.52, I 52
- 2θ 46.72, I 52
- 2θ 48.93, I 11
- 2θ 57.13, I 9
- 2θ 62.81, I 22
- 2θ 64.63, I 15
- 2θ 71.69, I 19
- 2θ 76.80, I 17
- 2θ 85.10, I 6

Structure:
```
AlBi
1.0
0.0000 3.2245 3.2245
3.2245 0.0000 3.2245
3.2245 3.2245 0.0000
Al Bi
1 1
direct
0.0000 0.0000 0.0000
0.7500 0.7500 0.7500
```


No. 3
Starting from a cell relaxed with GGA-PBE, the PXRD pattern of AlBiBr6 was simulated for Cu Kα, 1.54184 Å.
Peak positions follow from Bragg's law for the DFT cell and can differ from measured ones.

Peak list (12 most intense, 2θ = 15–90°, low angle first)
- 2θ 16.67, I 69
- 2θ 24.53, I 42
- 2θ 25.97, I 42
- 2θ 27.44, I 100
- 2θ 27.72, I 66
- 2θ 28.69, I 64
- 2θ 28.79, I 69
- 2θ 29.05, I 43
- 2θ 31.05, I 60
- 2θ 33.65, I 45
- 2θ 38.70, I 47
- 2θ 44.93, I 75

Structure:
```
AlBiBr6
1.0
8.1353 0.0000 0.0000
-1.0513 8.1899 0.0000
-2.6979 -2.4829 9.3036
Al Bi Br
2 2 12
direct
0.1877 0.2935 0.3514
0.8123 0.7065 0.6486
0.3073 0.4823 0.7935
0.6927 0.5177 0.2065
0.0571 0.3104 0.8531
0.1093 0.7895 0.7856
0.2386 0.1622 0.5432
0.2564 0.5784 0.4654
0.3485 0.2028 0.2023
0.4330 0.6924 0.0863
0.5670 0.3076 0.9137
0.6515 0.7972 0.7977
0.7436 0.4216 0.5346
0.7614 0.8378 0.4568
0.8907 0.2105 0.2144
0.9429 0.6896 0.1469
```


No. 4
Starting from a cell relaxed with GGA-PBE, the PXRD pattern of AlBi2Se2BrCl4 was simulated for Cu Kα, 1.54184 Å.
Peak positions follow from Bragg's law for the DFT cell and can differ from measured ones.

Peak list (12 most intense, 2θ = 15–90°, low angle first)
- 2θ 23.46, I 19
- 2θ 24.36, I 24
- 2θ 29.46, I 100
- 2θ 29.55, I 26
- 2θ 30.94, I 31
- 2θ 31.97, I 19
- 2θ 32.84, I 18
- 2θ 32.99, I 18
- 2θ 33.85, I 18
- 2θ 41.07, I 16
- 2θ 42.66, I 14
- 2θ 43.38, I 18

Structure:
```
AlBi2Se2BrCl4
1.0
7.0732 0.0000 0.0000
2.4537 7.9739 0.0000
3.2344 3.3191 10.5911
Al Bi Se Br Cl
2 4 4 2 8
direct
0.1676 0.2290 0.4604
0.8324 0.7710 0.5396
0.2820 0.1219 0.1213
0.2819 0.6131 0.1290
0.7181 0.3869 0.8710
0.7180 0.8781 0.8787
0.4357 0.7077 0.8676
0.4442 0.2074 0.8590
0.5558 0.7926 0.1410
0.5643 0.2923 0.1324
0.0000 0.0000 0.0000
0.0000 0.5000 0.0000
0.0510 0.6514 0.6606
0.0547 0.1552 0.6618
0.3369 0.9949 0.4051
0.3506 0.4204 0.4119
0.6494 0.5796 0.5881
0.6631 0.0051 0.5949
0.9453 0.8448 0.3382
0.9490 0.3486 0.3394
```


No. 5
Starting from a cell relaxed with GGA-PBE, the PXRD pattern of AlBi2Te2BrCl4 was simulated for Cu Kα, 1.54184 Å.
Peak positions follow from Bragg's law for the DFT cell and can differ from measured ones.

Peak list (12 most intense, 2θ = 15–90°, low angle first)
- 2θ 22.72, I 25
- 2θ 25.02, I 22
- 2θ 28.43, I 100
- 2θ 28.76, I 80
- 2θ 30.11, I 41
- 2θ 31.44, I 22
- 2θ 32.36, I 43
- 2θ 33.57, I 20
- 2θ 39.28, I 34
- 2θ 41.53, I 26
- 2θ 41.98, I 23
- 2θ 44.83, I 17

Structure:
```
AlBi2Te2BrCl4
1.0
10.8133 -4.3494 0.0000
10.8133 4.3494 0.0000
-2.1716 0.0000 13.6060
Al Bi Te Br Cl
4 8 8 4 16
direct
0.1102 0.3557 0.1735
0.3557 0.1102 0.6735
0.6443 0.8898 0.3265
0.8898 0.6443 0.8265
0.0553 0.8116 0.3896
0.1884 0.9447 0.1104
0.3110 0.5670 0.8892
0.4330 0.6890 0.6108
0.5670 0.3110 0.3892
0.6890 0.4330 0.1108
0.8116 0.0553 0.8896
0.9447 0.1884 0.6104
0.0548 0.8011 0.0401
0.1989 0.9452 0.4599
0.2989 0.5456 0.5348
0.4544 0.7011 0.9652
0.5456 0.2989 0.0348
0.7011 0.4544 0.4652
0.8011 0.0548 0.5401
0.9452 0.1989 0.9599
0.1254 0.8746 0.7500
0.3754 0.6246 0.2500
0.6246 0.3754 0.7500
0.8746 0.1254 0.2500
0.0579 0.2832 0.2804
0.1256 0.4597 0.9084
0.1357 0.2926 0.5817
0.2032 0.4603 0.2307
0.2832 0.0579 0.7804
0.2926 0.1357 0.0817
0.4597 0.1256 0.4084
0.4603 0.2032 0.7307
0.5397 0.7968 0.2693
0.5403 0.8744 0.5916
0.7074 0.8643 0.9183
0.7168 0.9421 0.2196
0.7968 0.5397 0.7693
0.8643 0.7074 0.4183
0.8744 0.5403 0.0916
0.9421 0.7168 0.7196
```


No. 6
Starting from a cell relaxed with GGA-PBE, the PXRD pattern of Ca5Al2Bi6 was simulated for Cu Kα, 1.54184 Å.
Peak positions follow from Bragg's law for the DFT cell and can differ from measured ones.

Peak list (12 most intense, 2θ = 15–90°, low angle first)
- 2θ 22.19, I 52
- 2θ 22.63, I 43
- 2θ 22.96, I 73
- 2θ 24.61, I 100
- 2θ 25.36, I 72
- 2θ 27.97, I 55
- 2θ 29.61, I 37
- 2θ 31.53, I 82
- 2θ 39.27, I 45
- 2θ 42.40, I 56
- 2θ 43.60, I 68
- 2θ 63.77, I 35

Structure:
```
Ca5Al2Bi6
1.0
7.5877 0.0000 0.0000
0.0000 23.5803 0.0000
0.0000 0.0000 4.5879
Ca Al Bi
10 4 12
direct
0.0000 0.0000 0.0000
0.0347 0.4114 0.0000
0.2292 0.2448 0.0000
0.2708 0.7448 0.0000
0.4653 0.9114 0.0000
0.5000 0.5000 0.0000
0.5347 0.0886 0.0000
0.7292 0.2552 0.0000
0.7708 0.7552 0.0000
0.9653 0.5886 0.0000
0.1823 0.1208 0.5000
0.3177 0.6208 0.5000
0.6823 0.3792 0.5000
0.8177 0.8792 0.5000
0.0107 0.6883 0.5000
0.0367 0.8638 0.0000
0.2067 0.5025 0.5000
0.2933 0.0025 0.5000
0.4633 0.3638 0.0000
0.4893 0.1883 0.5000
0.5107 0.8117 0.5000
0.5367 0.6362 0.0000
0.7067 0.9975 0.5000
0.7933 0.4975 0.5000
0.9633 0.1362 0.0000
0.9893 0.3117 0.5000
```